Calculated X-ray powder pattern of Li6PmCu6 for λ = 1.5418 Å (Cu Kα), from the PBE geometry in Alexandria.
Intensities are scaled so that the largest is 100.

Structural model:
```
data_Li6PmCu6
_space_group_name_H-M_alt 'I m m m'
_space_group_IT_number 71
_space_group_name_Hall '-I 2 2'
_cell_length_a 5.0053
_cell_length_b 8.8081
_cell_length_c 8.8794
_cell_angle_alpha 90.00
_cell_angle_beta 90.00
_cell_angle_gamma 90.00
loop_
_atom_site_label
_atom_site_fract_x
_atom_site_fract_y
_atom_site_fract_z
_atom_site_occupancy
Li1 0.0000 0.0000 0.1413 1
Li2 0.0000 0.3465 0.5000 1
Li3 0.0000 0.5000 0.2110 1
Pm1 0.0000 0.0000 0.5000 1
Cu1 0.0000 0.2808 0.0000 1
Cu2 0.2500 0.2500 0.2500 1
```

Peak list (12 most intense, 2θ from 5° to 70°, sorted by position)
d 6.253, I 84, hkl 0 1 1
d 4.404, I 42, hkl 0 2 0
d 3.127, I 48, hkl 0 2 2
d 3.100, I 100, hkl 1 2 1
d 2.532, I 19, hkl 1 3 0
d 2.220, I 38, hkl 0 0 4
d 2.204, I 71, hkl 0 4 0
d 2.200, I 26, hkl 1 3 2
d 2.179, I 91, hkl 2 0 2
d 1.954, I 23, hkl 2 2 2
d 1.564, I 30, hkl 0 4 4
d 1.549, I 36, hkl 2 4 2